PuThSc: theoretical powder XRD pattern (λ = 1.5418 Å (Cu Kα)), based on the GGA-PBE geometry in OQMD.
Intensities are scaled so that the largest is 100.

Principal peaks in the range 2θ from 5° to 70°, in order of falling intensity:
2θ 36.01, I 100
2θ 25.25, I 82
2θ 64.74, I 37
2θ 58.52, I 35
2θ 44.49, I 26
2θ 51.85, I 18
2θ 21.82, I 2
2θ 42.50, I 1

Structural model:
Cell: 4.988 4.988 4.988 Å, 60.00 60.00 60.00°
Sites, in units of the cell vectors:
Pu  0.000  0.000  0.000
Th  0.500  0.500  0.500
Sc  0.250  0.250  0.250